(1)
For Cs3Nd3MnS8, a GGA-PBE-relaxed structure gives the calculated XRD peak list in this record (λ = 1.5418 Å (Cu Kα)).
Lines closer than 0.1° are merged.

Peak list (10 most intense, 2θ from 10° to 90°, sorted by position)
2θ = 10.76°, intensity 16; 2θ = 14.46°, intensity 19; 2θ = 21.62°, intensity 31; 2θ = 26.27°, intensity 44; 2θ = 29.16°, intensity 100; 2θ = 38.79°, intensity 35; 2θ = 44.47°, intensity 32; 2θ = 44.84°, intensity 20; 2θ = 49.96°, intensity 21; 2θ = 54.06°, intensity 16

Structural model:
```
Cs3Nd3MnS8
1.0
4.075 2.353 8.221
-4.075 2.353 8.221
0.000 -4.705 8.221
Cs Nd Mn S
3 3 1 8
Cartesian
-2.037 -1.176 8.221
-2.037 1.176 16.441
0.000 2.353 8.221
-4.075 0.000 12.331
-2.037 1.176 4.110
2.037 1.176 4.110
0.000 0.000 12.331
0.000 0.000 5.664
-1.777 -1.026 13.713
0.000 -2.052 10.949
-1.777 1.026 10.949
1.777 -1.026 13.713
0.000 2.052 13.713
1.777 1.026 10.949
0.000 0.000 18.998
```

***

(2)
For CsNdMn2Se4, a GGA-PBE-relaxed structure gives the calculated XRD peak list in this record (λ = 1.5418 Å (Cu Kα)).
Lines closer than 0.1° are merged.

Peak list (10 most intense, 2θ from 10° to 90°, sorted by position)
2θ = 13.92°, intensity 57; 2θ = 16.22°, intensity 27; 2θ = 25.05°, intensity 100; 2θ = 25.95°, intensity 58; 2θ = 28.06°, intensity 54; 2θ = 31.82°, intensity 62; 2θ = 32.78°, intensity 66; 2θ = 42.00°, intensity 48; 2θ = 49.38°, intensity 22; 2θ = 51.95°, intensity 30

Structural model:
```
CsNdMn2Se4
1.0
-3.518 4.336 4.680
3.518 -4.336 4.680
3.518 4.336 -4.680
Cs Nd Mn Se
1 1 2 4
Cartesian
0.000 0.000 0.000
0.000 0.000 4.680
3.518 0.000 3.708
0.000 4.336 0.972
1.681 2.908 -1.668
1.837 1.428 3.012
1.837 -1.428 6.348
1.681 5.764 1.668
```

***

(3)
For CsNpMnS4, a GGA-PBE-relaxed structure gives the calculated XRD peak list in this record (λ = 1.5418 Å (Cu Kα)).
Lines closer than 0.1° are merged.

Peak list (10 most intense, 2θ from 10° to 90°, sorted by position)
2θ = 20.12°, intensity 100; 2θ = 24.16°, intensity 43; 2θ = 24.80°, intensity 53; 2θ = 28.37°, intensity 51; 2θ = 29.40°, intensity 32; 2θ = 31.24°, intensity 60; 2θ = 32.74°, intensity 42; 2θ = 34.68°, intensity 32; 2θ = 40.90°, intensity 41; 2θ = 47.81°, intensity 30

Structural model:
```
CsNpMnS4
1.0
6.517 0.000 0.000
0.000 6.291 0.000
-2.990 0.000 9.089
Cs Np Mn S
2 2 2 8
Cartesian
0.233 1.573 4.035
3.293 4.718 5.053
-1.135 1.573 8.626
4.662 4.718 0.462
1.332 4.718 1.428
2.195 1.573 7.660
-2.348 4.718 8.438
-0.468 4.718 2.740
0.728 3.205 7.383
0.728 6.232 7.383
2.799 0.059 1.706
2.799 3.086 1.706
3.994 1.573 6.348
5.875 1.573 0.650
```

***

(4)
For Cs2Np2MnS6, a GGA-PBE-relaxed structure gives the calculated XRD peak list in this record (λ = 1.5418 Å (Cu Kα)).
Lines closer than 0.1° are merged.

Peak list (10 most intense, 2θ from 10° to 90°, sorted by position)
2θ = 10.74°, intensity 76; 2θ = 16.71°, intensity 43; 2θ = 20.76°, intensity 26; 2θ = 21.58°, intensity 54; 2θ = 27.16°, intensity 73; 2θ = 29.89°, intensity 100; 2θ = 30.09°, intensity 49; 2θ = 39.45°, intensity 42; 2θ = 46.16°, intensity 51; 2θ = 56.01°, intensity 25

Structural model:
```
Cs2Np2MnS6
1.0
3.402 -5.907 0.000
3.402 5.907 0.000
-2.203 0.000 8.236
Cs Np Mn S
2 2 1 6
Cartesian
3.402 3.968 0.000
3.402 -3.968 0.000
2.300 1.963 4.118
2.300 -1.963 4.118
-1.102 0.000 4.118
0.034 1.977 5.548
1.136 0.000 2.705
0.034 -1.977 5.548
4.567 1.977 2.688
3.465 0.000 5.531
4.567 -1.977 2.688
```